Theoretical X-ray powder pattern
Compound: Ba2NdBr2O2
Radiation: a wavelength of 1.5418 Å
Structure: DFT lattice parameters and positions (GGA-PBE)
Neutral-atom scattering factors, no anomalous dispersion.

Peak list (8 most intense, 5 to 70 degrees two-theta, in order of rising 2θ)
d 8.430, 2θ 10.5, I = 18
d 3.327, 2θ 26.8, I = 82
d 2.741, 2θ 32.7, I = 100
d 2.352, 2θ 38.3, I = 40
d 1.785, 2θ 51.2, I = 55
d 1.663, 2θ 55.2, I = 13
d 1.488, 2θ 62.4, I = 15
d 1.422, 2θ 65.7, I = 13

a b c (Å): 9.0624 9.0624 9.0624
angles (deg): 149.91 149.91 43.07
Positions (direct):
Ba (0.1082, 0.1082, 0.0000)
Ba (0.8918, 0.8918, 0.0000)
Nd (0.5000, 0.5000, 0.0000)
Br (0.3155, 0.3155, 0.0000)
Br (0.6845, 0.6845, 0.0000)
O (0.0000, 0.5000, 0.5000)
O (0.5000, 0.0000, 0.5000)


Theoretical X-ray powder pattern
Compound: BHPb2O4
Radiation: a wavelength of 1.5418 Å
Structure: DFT lattice parameters and positions (GGA-PBE)
Neutral-atom scattering factors, no anomalous dispersion.

Peak list (8 most intense, 5 to 70 degrees two-theta, in order of rising 2θ)
d 6.803, 2θ 13.0, I = 54
d 6.024, 2θ 14.7, I = 35
d 3.698, 2θ 24.1, I = 35
d 3.503, 2θ 25.4, I = 89
d 3.261, 2θ 27.3, I = 55
d 3.159, 2θ 28.3, I = 100
d 2.917, 2θ 30.7, I = 55
d 2.290, 2θ 39.3, I = 26

a b c (Å): 7.2460 7.2460 7.6491
angles (deg): 114.73 114.73 47.47
Positions (direct):
B (0.1682, 0.1682, 0.1626)
B (0.8318, 0.8318, 0.8374)
H (0.0428, 0.0428, 0.8882)
H (0.9572, 0.9572, 0.1118)
Pb (0.1518, 0.1518, 0.5634)
Pb (0.4352, 0.4352, 0.2369)
Pb (0.5648, 0.5648, 0.7631)
Pb (0.8482, 0.8482, 0.4366)
O (0.0890, 0.0890, 0.2324)
O (0.1296, 0.1296, 0.9576)
O (0.2468, 0.7532, 0.5000)
O (0.2819, 0.2819, 0.2905)
O (0.7181, 0.7181, 0.7095)
O (0.7532, 0.2468, 0.5000)
O (0.8704, 0.8704, 0.0424)
O (0.9110, 0.9110, 0.7676)


Theoretical X-ray powder pattern
Compound: Tm4TlHgO
Radiation: a wavelength of 1.5418 Å
Structure: DFT lattice parameters and positions (GGA-PBE)
Neutral-atom scattering factors, no anomalous dispersion.

Peak list (8 most intense, 5 to 70 degrees two-theta, in order of rising 2θ)
d 3.237, 2θ 27.6, I = 26
d 2.996, 2θ 29.8, I = 79
d 2.633, 2θ 34.1, I = 30
d 2.600, 2θ 34.5, I = 29
d 2.504, 2θ 35.9, I = 100
d 2.289, 2θ 39.4, I = 69
d 1.728, 2θ 53.0, I = 34
d 1.359, 2θ 69.1, I = 31

a b c (Å): 8.5362 8.5362 6.4759
angles (deg): 90.00 90.00 135.43
Positions (direct):
Tm (0.0000, 0.5000, 0.0000)
Tm (0.0000, 0.5000, 0.5000)
Tm (0.0709, 0.9291, 0.7500)
Tm (0.4192, 0.5808, 0.7500)
Tm (0.5000, 0.0000, 0.0000)
Tm (0.5000, 0.0000, 0.5000)
Tm (0.5808, 0.4192, 0.2500)
Tm (0.9291, 0.0709, 0.2500)
Tl (0.3884, 0.6116, 0.2500)
Tl (0.6116, 0.3884, 0.7500)
Hg (0.1168, 0.8832, 0.2500)
Hg (0.8832, 0.1168, 0.7500)
O (0.2553, 0.7447, 0.7500)
O (0.7447, 0.2553, 0.2500)